The following is a simulated PXRD pattern of Ca2CrCl6. It was derived from a cell relaxed with PBE, using Cu Kα (λ = 1.5418 Å).
Intensities are scaled so that the largest is 100.

Crystal structure
Lattice parameters (Å, degrees): 7.3091 7.3091 7.3091 56.98 56.98 56.98
Sites, in units of the cell vectors:
1 Ca 0.1908 0.1908 0.1908
2 Ca 0.8092 0.8092 0.8092
3 Cr 0.0000 0.0000 0.0000
4 Cl 0.0853 0.3697 0.7951
5 Cl 0.2049 0.9147 0.6303
6 Cl 0.3697 0.7951 0.0853
7 Cl 0.6303 0.2049 0.9147
8 Cl 0.7951 0.0853 0.3697
9 Cl 0.9147 0.6303 0.2049

Main lines, by angle (2θ from 10° to 90°):
Position (°2θ)	d_spacing	Rel. int.
15.45	5.735	100
28.52	3.130	16
29.51	3.027	85
38.66	2.329	21
39.24	2.296	49
44.35	2.043	10
45.03	2.013	35
46.91	1.937	20
52.07	1.757	14
61.24	1.514	10